For Ti3N2O3, a GGA-PBE-relaxed structure gives the calculated powder X-ray diffraction pattern in this record (Cu Kα X-rays).
Lines closer than 0.1° are merged.

Main lines, in order of rising 2θ (2θ from 10° to 90°):
- 4.964 Å, 17.87 deg, rel. 43.0
- 3.531 Å, 25.22 deg, rel. 100.0
- 2.777 Å, 32.23 deg, rel. 64.3
- 1.995 Å, 45.46 deg, rel. 24.5
- 1.889 Å, 48.18 deg, rel. 31.5
- 1.563 Å, 59.12 deg, rel. 28.8

Crystal structure
```
16
Lattice="1.889 -4.964 0.000 1.889 4.964 0.000 0.000 0.000 10.053" Properties=species:S:1:pos:R:3 pbc="T T T"
Ti 1.889 3.624 5.027
Ti 1.889 3.628 8.978
Ti 1.889 3.028 1.972
Ti 1.889 -3.028 6.999
Ti 1.889 -3.624 0.000
Ti 1.889 -3.628 3.952
N 1.889 4.510 0.607
N 1.889 1.953 3.681
N 1.889 -1.953 8.708
N 1.889 -4.510 5.634
O 1.889 4.516 3.246
O 1.889 2.522 6.851
O 1.889 1.850 0.200
O 1.889 -1.850 5.226
O 1.889 -2.522 1.824
O 1.889 -4.516 8.273
```



For NdSi2Ag2, a GGA-PBE-relaxed structure gives the calculated powder X-ray diffraction pattern in this record (Cu Kα X-rays).
Lines closer than 0.1° are merged.

Main lines, in order of rising 2θ (2θ from 10° to 90°):
- 3.952 Å, 22.50 deg, rel. 18.8
- 2.740 Å, 32.68 deg, rel. 22.5
- 2.689 Å, 33.32 deg, rel. 18.5
- 2.623 Å, 34.18 deg, rel. 100.0
- 2.125 Å, 42.55 deg, rel. 33.6
- 1.304 Å, 72.51 deg, rel. 21.2

Crystal structure
```
10
Lattice="4.249 0.000 0.000 0.000 4.249 0.000 0.000 0.000 10.756" Properties=species:S:1:pos:R:3 pbc="T T T"
Nd 0.000 0.000 0.000
Nd 2.125 2.125 5.378
Si 0.000 0.000 4.213
Si 0.000 0.000 6.543
Si 2.125 2.125 1.165
Si 2.125 2.125 9.591
Ag 0.000 2.125 2.689
Ag 0.000 2.125 8.067
Ag 2.125 0.000 2.689
Ag 2.125 0.000 8.067
```



For CaTm2Ge4O12, a GGA-PBE-relaxed structure gives the calculated powder X-ray diffraction pattern in this record (Cu Kα X-rays).
Lines closer than 0.1° are merged.

Main lines, in order of rising 2θ (2θ from 10° to 90°):
- 7.098 Å, 12.47 deg, rel. 34.5
- 4.129 Å, 21.52 deg, rel. 36.4
- 2.911 Å, 30.71 deg, rel. 100.0
- 2.513 Å, 35.73 deg, rel. 24.3
- 1.786 Å, 51.16 deg, rel. 26.7
- 1.527 Å, 60.62 deg, rel. 14.5

Crystal structure
```
38
Lattice="7.098 -7.119 0.000 7.098 7.119 0.000 0.000 0.000 5.075" Properties=species:S:1:pos:R:3 pbc="T T T"
Ca 0.000 0.000 0.000
Ca 7.098 0.000 0.000
Tm 3.549 3.560 0.000
Tm 3.549 0.000 0.000
Tm 3.549 -3.560 0.000
Tm 10.646 0.000 0.000
Ge 5.459 5.199 2.553
Ge 5.459 1.921 2.553
Ge 8.737 5.199 2.553
Ge 8.737 1.921 2.553
Ge 5.459 -1.921 2.522
Ge 5.459 -5.199 2.522
Ge 8.737 -1.921 2.522
Ge 8.737 -5.199 2.522
O 2.752 1.924 3.870
O 1.765 0.752 1.251
O 5.289 3.560 3.394
O 7.098 5.272 1.770
O 4.346 1.924 1.205
O 1.765 -0.752 3.824
O 5.332 0.752 3.824
O 2.752 -1.924 1.205
O 7.098 1.847 1.770
O 8.907 3.560 3.394
O 5.332 -0.752 1.251
O 4.346 -1.924 3.870
O 9.849 1.924 1.205
O 8.863 0.752 3.824
O 5.289 -3.560 1.681
O 7.098 -1.847 3.305
O 11.444 1.924 3.870
O 8.863 -0.752 1.251
O 12.430 0.752 1.251
O 9.849 -1.924 3.870
O 7.098 -5.272 3.305
O 8.907 -3.560 1.681
O 12.430 -0.752 3.824
O 11.444 -1.924 1.205
```



For Cs2RbTbCl6, a GGA-PBE-relaxed structure gives the calculated powder X-ray diffraction pattern in this record (Cu Kα X-rays).
Lines closer than 0.1° are merged.

Main lines, in order of rising 2θ (2θ from 10° to 90°):
- 4.099 Å, 21.68 deg, rel. 100.0
- 2.898 Å, 30.85 deg, rel. 55.9
- 2.367 Å, 38.02 deg, rel. 45.7
- 2.049 Å, 44.19 deg, rel. 38.4
- 1.833 Å, 49.74 deg, rel. 24.1
- 1.549 Å, 59.68 deg, rel. 27.1

Crystal structure
```
10
Lattice="0.000 5.797 5.797 5.797 0.000 5.797 5.797 5.797 0.000" Properties=species:S:1:pos:R:3 pbc="T T T"
Cs 2.898 2.898 2.898
Cs 8.695 8.695 8.695
Rb 0.000 0.000 0.000
Tb 5.797 5.797 5.797
Cl 5.797 5.797 3.143
Cl 5.797 3.143 5.797
Cl 8.450 5.797 5.797
Cl 3.143 5.797 5.797
Cl 5.797 8.450 5.797
Cl 5.797 5.797 8.450
```



For CuSnPd2, a GGA-PBE-relaxed structure gives the calculated powder X-ray diffraction pattern in this record (Cu Kα X-rays).
Lines closer than 0.1° are merged.

Main lines, in order of rising 2θ (2θ from 10° to 90°):
- 2.303 Å, 39.12 deg, rel. 100.0
- 2.013 Å, 45.04 deg, rel. 16.3
- 1.987 Å, 45.65 deg, rel. 16.2
- 1.983 Å, 45.76 deg, rel. 16.1
- 1.413 Å, 66.11 deg, rel. 20.3
- 1.200 Å, 79.98 deg, rel. 12.2

Crystal structure
```
16
Lattice="3.965 0.000 0.000 0.000 7.950 0.000 0.000 0.000 8.052" Properties=species:S:1:pos:R:3 pbc="T T T"
Cu 0.000 0.000 0.000
Cu 0.000 3.975 4.026
Cu 1.983 1.979 4.026
Cu 1.983 5.970 4.026
Sn 0.000 1.985 1.999
Sn 0.000 1.985 6.053
Sn 0.000 5.965 1.999
Sn 0.000 5.965 6.053
Pd 0.000 0.000 4.026
Pd 0.000 3.975 0.000
Pd 1.983 0.000 2.041
Pd 1.983 0.000 6.011
Pd 1.983 1.950 0.000
Pd 1.983 3.975 2.176
Pd 1.983 3.975 5.876
Pd 1.983 6.000 0.000
```



For Tb5Mg, a GGA-PBE-relaxed structure gives the calculated powder X-ray diffraction pattern in this record (Cu Kα X-rays).
Lines closer than 0.1° are merged.

Main lines, in order of rising 2θ (2θ from 10° to 90°):
- 3.081 Å, 28.98 deg, rel. 25.4
- 2.796 Å, 32.00 deg, rel. 24.3
- 2.698 Å, 33.20 deg, rel. 100.0
- 1.779 Å, 51.37 deg, rel. 19.3
- 1.595 Å, 57.81 deg, rel. 20.5
- 1.501 Å, 61.82 deg, rel. 22.0

Crystal structure
```
6
Lattice="3.081 1.779 5.593 -3.081 1.779 5.593 0.000 -3.557 5.593" Properties=species:S:1:pos:R:3 pbc="T T T"
Tb -2.032 -0.038 5.593
Tb 0.000 0.000 2.819
Tb -2.032 0.038 11.186
Tb 0.983 1.779 5.593
Tb 0.000 0.000 13.959
Mg 0.000 0.000 8.389
```



For Mg7Si4, a GGA-PBE-relaxed structure gives the calculated powder X-ray diffraction pattern in this record (Cu Kα X-rays).
Lines closer than 0.1° are merged.

Main lines, in order of rising 2θ (2θ from 10° to 90°):
- 2.544 Å, 35.28 deg, rel. 100.0
- 2.393 Å, 37.59 deg, rel. 79.0
- 2.362 Å, 38.10 deg, rel. 51.0
- 2.348 Å, 38.34 deg, rel. 43.4
- 2.332 Å, 38.61 deg, rel. 60.9
- 2.193 Å, 41.17 deg, rel. 54.5

Crystal structure
```
22
Lattice="5.556 0.000 0.000 -1.079 5.796 0.000 -1.566 -1.363 13.441" Properties=species:S:1:pos:R:3 pbc="T T T"
Mg 0.000 0.000 0.000
Mg -1.818 2.981 9.804
Mg -0.724 3.038 4.220
Mg -0.312 -0.089 8.667
Mg 0.698 0.036 2.938
Mg 0.648 2.761 1.580
Mg 0.326 2.336 7.082
Mg 1.317 -0.439 6.052
Mg 0.136 3.767 13.419
Mg 0.954 2.248 10.459
Mg 1.693 0.995 13.183
Mg 2.812 -0.306 10.816
Mg 3.095 3.387 6.593
Mg 4.033 0.511 5.586
Si -1.201 1.629 12.194
Si 0.027 -0.417 11.447
Si 1.954 1.948 4.407
Si 1.899 4.312 3.863
Si 1.461 4.310 8.480
Si 2.461 0.957 8.255
Si 3.575 1.286 2.324
Si 3.418 3.885 1.969
```



For SiO2, a GGA-PBE-relaxed structure gives the calculated powder X-ray diffraction pattern in this record (Cu Kα X-rays).
Lines closer than 0.1° are merged.

Main lines, in order of rising 2θ (2θ from 10° to 90°):
- 6.296 Å, 14.07 deg, rel. 89.9
- 5.992 Å, 14.78 deg, rel. 100.0
- 4.340 Å, 20.46 deg, rel. 16.0
- 3.574 Å, 24.92 deg, rel. 74.4
- 3.406 Å, 26.16 deg, rel. 13.2
- 2.787 Å, 32.12 deg, rel. 13.2

Crystal structure
```
18
Lattice="6.296 3.635 2.390 -6.296 3.635 2.390 0.000 -7.270 2.390" Properties=species:S:1:pos:R:3 pbc="T T T"
Si -4.588 1.097 2.660
Si -3.244 -3.424 4.511
Si 1.343 -4.522 2.660
Si -1.343 4.522 4.511
Si 3.244 3.424 2.660
Si 4.588 -1.097 4.511
O -2.730 -3.855 3.033
O -0.249 -4.785 2.842
O -4.269 -2.177 4.329
O -4.019 2.609 2.842
O -4.704 0.437 4.138
O -1.974 4.292 3.033
O 1.974 -4.292 4.138
O 4.704 -0.437 3.033
O 4.019 -2.609 4.329
O 4.269 2.177 2.842
O 0.249 4.785 4.329
O 2.730 3.855 4.138
```